Computed powder X-ray diffraction pattern
Compound: CePaTl
Radiation: copper Kα
Structure: DFT lattice parameters and positions (GGA-PBE)
Kinematic intensities with the Lorentz-polarization factor, no thermal factor.

Top 10 peaks for 10° ≤ 2θ ≤ 90°, low angle first:
| d/Å | Rel. int. |
| --- | --- |
| 2.688 | 100 |
| 2.654 | 96 |
| 2.613 | 89 |
| 2.589 | 97 |
| 2.576 | 82 |
| 2.566 | 70 |
| 1.847 | 31 |
| 1.832 | 38 |
| 1.510 | 25 |
| 1.343 | 35 |

Structure:
abc: 5.2260 6.2273 5.3101
angles: 90.00 118.64 90.00
Space group P2/m (No. 10)
Symmetry-distinct sites (fractional):
Ce: 0.1968 0.0000 0.3495 x2
Pa: 0.1493 0.5000 0.3468 x2
Tl: 0.5000 0.2515 0.0000 x2